[1]
For CdIn9Sn2, the GGA-PBE geometry in Alexandria gives the theoretical X-ray diffraction stick pattern in this record (Cu Kα X-rays).

Top 12 peaks for 15° ≤ 2θ ≤ 90°, in order of rising 2θ:
two_theta	I (rel.)
32.75	100
34.31	22
39.73	29
53.48	24
57.45	10
60.46	16
67.72	24
68.65	11
72.29	2
85.63	3
85.80	6
88.21	12

Structure:
```
data_CdIn9Sn2
_cell_length_a 4.537
_cell_length_b 4.537
_cell_length_c 15.683
_cell_angle_alpha 90.00
_cell_angle_beta 90.00
_cell_angle_gamma 90.00
_space_group_name_H-M_alt 'P 1'
_space_group_IT_number 1
loop_
_space_group_symop_operation_xyz
'x,y,z'
loop_
_atom_site_label
_atom_site_type_symbol
_atom_site_fract_x
_atom_site_fract_y
_atom_site_fract_z
Cd1 Cd 0.000 0.000 0.000
In1 In 0.000 0.500 0.162
In2 In 0.000 0.500 0.500
In3 In 0.000 0.500 0.838
In4 In 0.500 0.000 0.162
In5 In 0.500 0.000 0.500
In6 In 0.500 0.000 0.838
In7 In 0.500 0.500 0.000
In8 In 0.500 0.500 0.332
In9 In 0.500 0.500 0.668
Sn1 Sn 0.000 0.000 0.331
Sn2 Sn 0.000 0.000 0.669
```

***

[2]
For Cd4InSn4, the GGA-PBE geometry in Alexandria gives the theoretical X-ray diffraction stick pattern in this record (Cu Kα X-rays).

Top 12 peaks for 15° ≤ 2θ ≤ 90°, in order of rising 2θ:
two_theta	I (rel.)
33.15	100
37.46	36
40.40	15
52.55	1
54.02	12
56.27	22
64.86	27
68.88	12
69.57	11
79.92	4
87.36	2
89.30	6

Structure:
```
data_Cd4InSn4
_cell_length_a 7.540
_cell_length_b 7.540
_cell_length_c 7.540
_cell_angle_alpha 95.03
_cell_angle_beta 95.03
_cell_angle_gamma 145.55
_space_group_name_H-M_alt 'P 1'
_space_group_IT_number 1
loop_
_space_group_symop_operation_xyz
'x,y,z'
loop_
_atom_site_label
_atom_site_type_symbol
_atom_site_fract_x
_atom_site_fract_y
_atom_site_fract_z
Cd1 Cd 0.000 0.343 0.343
Cd2 Cd 0.000 0.657 0.657
Cd3 Cd 0.343 0.000 0.343
Cd4 Cd 0.657 0.000 0.657
In1 In 0.000 0.000 0.000
Sn1 Sn 0.329 0.329 0.659
Sn2 Sn 0.329 0.671 0.000
Sn3 Sn 0.671 0.329 0.000
Sn4 Sn 0.671 0.671 0.341
```

***

[3]
For CdIn6Sn2, the GGA-PBE geometry in Alexandria gives the theoretical X-ray diffraction stick pattern in this record (Cu Kα X-rays).

Top 12 peaks for 15° ≤ 2θ ≤ 90°, in order of rising 2θ:
two_theta	I (rel.)
30.28	48
32.29	15
33.29	44
33.78	62
35.62	100
45.62	28
53.79	36
62.19	27
64.75	37
65.05	9
66.19	16
86.72	11

Structure:
```
data_CdIn6Sn2
_cell_length_a 3.408
_cell_length_b 3.408
_cell_length_c 24.223
_cell_angle_alpha 90.00
_cell_angle_beta 90.00
_cell_angle_gamma 120.00
_space_group_name_H-M_alt 'P 1'
_space_group_IT_number 1
loop_
_space_group_symop_operation_xyz
'x,y,z'
loop_
_atom_site_label
_atom_site_type_symbol
_atom_site_fract_x
_atom_site_fract_y
_atom_site_fract_z
Cd1 Cd 0.000 0.000 0.000
In1 In 0.000 0.000 0.217
In2 In 0.000 0.000 0.438
In3 In 0.000 0.000 0.562
In4 In 0.000 0.000 0.783
In5 In 0.333 0.667 0.105
In6 In 0.333 0.667 0.895
Sn1 Sn 0.333 0.667 0.329
Sn2 Sn 0.333 0.667 0.671
```

***

[4]
For Cd2InSn, the GGA-PBE geometry in Alexandria gives the theoretical X-ray diffraction stick pattern in this record (Cu Kα X-rays).

Top 11 peaks for 15° ≤ 2θ ≤ 90°, in order of rising 2θ:
two_theta	I (rel.)
33.41	100
37.61	36
41.00	14
54.25	12
56.85	21
65.23	28
69.87	11
70.19	11
80.30	4
88.92	2
89.81	6

Structure:
```
data_Cd2InSn
_cell_length_a 4.783
_cell_length_b 4.783
_cell_length_c 8.805
_cell_angle_alpha 90.00
_cell_angle_beta 90.00
_cell_angle_gamma 90.00
_space_group_name_H-M_alt 'P 1'
_space_group_IT_number 1
loop_
_space_group_symop_operation_xyz
'x,y,z'
loop_
_atom_site_label
_atom_site_type_symbol
_atom_site_fract_x
_atom_site_fract_y
_atom_site_fract_z
Cd1 Cd 0.000 0.500 0.250
Cd2 Cd 0.000 0.500 0.750
Cd3 Cd 0.500 0.000 0.250
Cd4 Cd 0.500 0.000 0.750
In1 In 0.000 0.000 0.000
In2 In 0.500 0.500 0.500
Sn1 Sn 0.000 0.000 0.500
Sn2 Sn 0.500 0.500 0.000
```

***

Which formula does entry 2 have? Cd4InSn4